1.
For Pr2HoCo2B2N3, DFT lattice parameters and positions (GGA-PBE) gives the computed powder diffractogram in this record (a wavelength of 1.5418 Å).

Atomic structure:
Cell: 3.617 3.617 19.742 Å, 90.00 90.00 90.00°
Space group I4/mmm (No. 139)
Asymmetric unit:
Pr 0.000 0.000 0.127 (multiplicity 4)
Ho 0.000 0.000 0.500 (multiplicity 2)
Co 0.000 0.500 0.250 (multiplicity 4)
B 0.000 0.000 0.304 (multiplicity 4)
N 0.000 0.000 0.000 (multiplicity 2)
N 0.000 0.000 0.380 (multiplicity 4)

Most intense lines, 15 to 90 degrees two-theta, by intensity:
2θ (°)	I (rel.)
28.15	100
33.60	66
36.41	43
36.28	39
35.08	39
50.46	36
63.80	32
44.89	28
58.78	28
39.69	25

***

2.
For Sm2Co2I, DFT lattice parameters and positions (GGA-PBE) gives the computed powder diffractogram in this record (a wavelength of 1.5418 Å).

Atomic structure:
Cell: 3.9737 3.9737 8.6510 Å, 90.00 90.00 120.00°
Space group P-6m2 (No. 187)
Asymmetric unit:
Sm 0.0000 0.0000 0.2105 (multiplicity 2)
Co 0.3333 0.6667 0.0000 (multiplicity 1)
Co 0.6667 0.3333 0.0000 (multiplicity 1)
I 0.6667 0.3333 0.5000 (multiplicity 1)

Most intense lines, 15 to 90 degrees two-theta, by intensity:
2θ (°)	I (rel.)
33.27	100
45.66	38
25.89	25
57.66	20
40.83	18
76.47	18
27.90	17
63.59	15
59.83	11
41.77	9

***

3.
For La2PrNi6Pt3, DFT lattice parameters and positions (GGA-PBE) gives the computed powder diffractogram in this record (a wavelength of 1.5418 Å).

Atomic structure:
Cell: 5.1995 5.1995 25.8771 Å, 90.00 90.00 120.00°
Space group R-3m (No. 166, hexagonal axes)
Asymmetric unit:
La 0.0000 0.0000 0.1375 (multiplicity 6)
Pr 0.0000 0.0000 0.0000 (multiplicity 3)
Ni 0.0018 0.5009 0.9176 (multiplicity 18)
Pt 0.0000 0.0000 0.3325 (multiplicity 6)
Pt 0.0000 0.0000 0.5000 (multiplicity 3)

Most intense lines, 15 to 90 degrees two-theta, by intensity:
2θ (°)	I (rel.)
40.52	100
34.50	61
65.89	24
43.85	20
20.59	19
43.40	18
72.75	17
34.13	15
41.89	14
87.65	14

***

4.
For Ho5Tm3Te, DFT lattice parameters and positions (GGA-PBE) gives the computed powder diffractogram in this record (a wavelength of 1.5418 Å).

Atomic structure:
Cell: 9.1245 9.1245 3.7387 Å, 90.00 90.00 120.00°
Space group P-62m (No. 189)
Asymmetric unit:
Ho 0.0000 0.6160 0.0000 (multiplicity 3)
Ho 0.3333 0.6667 0.5000 (multiplicity 2)
Tm 0.0000 0.2743 0.5000 (multiplicity 3)
Te 0.0000 0.0000 0.0000 (multiplicity 1)

Most intense lines, 15 to 90 degrees two-theta, by intensity:
2θ (°)	I (rel.)
30.92	100
34.04	77
32.98	55
29.92	40
56.41	37
60.76	29
38.58	28
48.71	16
46.64	13
63.96	13

***

5.
For Pr2SmPdPt2Pb3, DFT lattice parameters and positions (GGA-PBE) gives the computed powder diffractogram in this record (a wavelength of 1.5418 Å).

Atomic structure:
Cell: 4.137 13.623 7.880 Å, 90.00 90.00 90.00°
Space group Amm2 (No. 38)
Asymmetric unit:
Pr 0.000 0.206 0.000 (multiplicity 4)
Sm 0.000 0.000 0.383 (multiplicity 2)
Pd 0.000 0.000 0.793 (multiplicity 2)
Pt 0.500 0.166 0.295 (multiplicity 4)
Pb 0.500 0.000 0.050 (multiplicity 2)
Pb 0.500 0.127 0.666 (multiplicity 4)

Most intense lines, 15 to 90 degrees two-theta, by intensity:
2θ (°)	I (rel.)
31.37	100
34.08	87
34.82	62
41.28	41
39.66	40
63.60	36
57.10	31
43.77	29
60.53	23
21.48	15

***

6.
For UH14C16N4Cl6, DFT lattice parameters and positions (GGA-PBE) gives the computed powder diffractogram in this record (a wavelength of 1.5418 Å).

Atomic structure:
Cell: 7.335 8.050 9.516 Å, 83.01 72.46 86.53°
Space group P-1 (No. 2)
Asymmetric unit:
U 0.000 0.000 0.000 (multiplicity 1)
H 0.132 0.187 0.458 (multiplicity 2)
H 0.158 0.355 0.653 (multiplicity 2)
H 0.230 0.303 0.193 (multiplicity 2)
H 0.259 0.635 0.717 (multiplicity 2)
H 0.360 0.591 0.117 (multiplicity 2)
H 0.403 0.896 0.622 (multiplicity 2)
H 0.463 0.855 0.193 (multiplicity 2)
C 0.189 0.313 0.427 (multiplicity 2)
C 0.202 0.406 0.536 (multiplicity 2)
C 0.245 0.379 0.276 (multiplicity 2)
C 0.278 0.568 0.494 (multiplicity 2)
C 0.300 0.670 0.597 (multiplicity 2)
C 0.318 0.538 0.233 (multiplicity 2)
C 0.337 0.634 0.342 (multiplicity 2)
C 0.415 0.797 0.307 (multiplicity 2)
N 0.379 0.819 0.550 (multiplicity 2)
N 0.439 0.887 0.407 (multiplicity 2)
Cl 0.025 0.988 0.267 (multiplicity 2)
Cl 0.150 0.294 0.937 (multiplicity 2)
Cl 0.338 0.854 0.909 (multiplicity 2)

Most intense lines, 15 to 90 degrees two-theta, by intensity:
2θ (°)	I (rel.)
28.12	100
16.63	90
15.60	58
25.39	54
18.22	53
18.38	50
20.01	40
28.63	38
33.64	35
19.68	33

***

7.
For Er3Lu4Pd2S2, DFT lattice parameters and positions (GGA-PBE) gives the computed powder diffractogram in this record (a wavelength of 1.5418 Å).

Atomic structure:
Cell: 3.791 14.783 9.119 Å, 90.00 90.00 90.00°
Space group Imm2 (No. 44)
Asymmetric unit:
Er 0.000 0.000 0.000 (multiplicity 2)
Er 0.000 0.368 0.240 (multiplicity 4)
Lu 0.000 0.117 0.399 (multiplicity 4)
Lu 0.000 0.319 0.612 (multiplicity 4)
Pd 0.000 0.241 0.913 (multiplicity 4)
S 0.000 0.000 0.644 (multiplicity 2)
S 0.000 0.500 0.749 (multiplicity 2)

Most intense lines, 15 to 90 degrees two-theta, by intensity:
2θ (°)	I (rel.)
35.32	100
31.28	64
35.79	47
34.68	40
31.82	38
30.01	32
48.00	28
29.73	26
53.56	26
39.93	22